No. 1
Simulated X-ray powder pattern of Nd2B7Rh12 for CuKα, from the GGA-PBE geometry in Alexandria.

The 8 most intense peaks (2θ from 15° to 90°), by intensity:
d 2.345, 2θ = 38.4°, I 1000; d 2.938, 2θ = 30.4°, I 335; d 1.948, 2θ = 46.6°, I 175; d 2.156, 2θ = 41.9°, I 144; d 1.695, 2θ = 54.1°, I 137; d 1.374, 2θ = 68.2°, I 133; d 1.623, 2θ = 56.7°, I 125; d 1.188, 2θ = 80.9°, I 111

Atomic structure:
Lattice parameters (Å, degrees): 8.9710 8.9710 3.8964 90.00 90.00 120.00
Space group P-6 (No. 174)
Symmetry-distinct sites (fractional):
Nd (0.0000, 0.0000, 0.0000) [1 per cell]
Nd (0.3333, 0.6667, 0.5000) [1 per cell]
B (0.0892, 0.4310, 0.0000) [3 per cell]
B (0.2807, 0.2325, 0.5000) [3 per cell]
B (0.6667, 0.3333, 0.0000) [1 per cell]
Rh (0.0645, 0.2848, 0.5000) [3 per cell]
Rh (0.0912, 0.6867, 0.0000) [3 per cell]
Rh (0.3998, 0.1670, 0.0000) [3 per cell]
Rh (0.5395, 0.4170, 0.5000) [3 per cell]



No. 2
Simulated X-ray powder pattern of Pm13Sm3 for CuKα, from the GGA-PBE geometry in Alexandria.

The 8 most intense peaks (2θ from 15° to 90°), by intensity:
d 2.977, 2θ = 30.0°, I 1000; d 1.823, 2θ = 50.0°, I 363; d 2.580, 2θ = 34.8°, I 339; d 1.556, 2θ = 59.4°, I 289; d 2.573, 2θ = 34.9°, I 168; d 1.553, 2θ = 59.5°, I 144; d 1.488, 2θ = 62.4°, I 125; d 1.182, 2θ = 81.4°, I 118

Atomic structure:
Lattice parameters (Å, degrees): 10.293 10.322 10.322 90.00 90.00 90.00
Space group Amm2 (No. 38)
Symmetry-distinct sites (fractional):
Pm (0.000, 0.000, 0.000) [2 per cell]
Pm (0.000, 0.000, 0.500) [2 per cell]
Pm (0.000, 0.250, 0.250) [4 per cell]
Pm (0.250, 0.000, 0.250) [4 per cell]
Pm (0.250, 0.250, 0.000) [8 per cell]
Pm (0.500, 0.000, 0.000) [2 per cell]
Pm (0.500, 0.250, 0.250) [4 per cell]
Sm (0.250, 0.000, 0.750) [4 per cell]
Sm (0.500, 0.000, 0.500) [2 per cell]



No. 3
Simulated X-ray powder pattern of Tb2SmHoTm4 for CuKα, from the GGA-PBE geometry in Alexandria.

The 8 most intense peaks (2θ from 15° to 90°), by intensity:
d 2.879, 2θ = 31.1°, I 1000; d 1.763, 2θ = 51.9°, I 360; d 2.496, 2θ = 36.0°, I 338; d 1.504, 2θ = 61.7°, I 286; d 2.488, 2θ = 36.1°, I 168; d 1.501, 2θ = 61.8°, I 142; d 1.439, 2θ = 64.8°, I 123; d 1.143, 2θ = 84.8°, I 119

Atomic structure:
Lattice parameters (Å, degrees): 4.991 4.991 9.951 90.00 90.00 90.00
Space group P4/mmm (No. 123)
Symmetry-distinct sites (fractional):
Tb (0.000, 0.000, 0.000) [1 per cell]
Tb (0.500, 0.500, 0.500) [1 per cell]
Sm (0.000, 0.000, 0.500) [1 per cell]
Ho (0.500, 0.500, 0.000) [1 per cell]
Tm (0.000, 0.500, 0.249) [4 per cell]



No. 4
Simulated X-ray powder pattern of BaMgAg2Hg4 for CuKα, from the GGA-PBE geometry in Alexandria.

The 8 most intense peaks (2θ from 15° to 90°), by intensity:
d 2.443, 2θ = 36.8°, I 1000; d 2.788, 2θ = 32.1°, I 713; d 2.274, 2θ = 39.6°, I 349; d 3.675, 2θ = 24.2°, I 262; d 3.445, 2θ = 25.9°, I 262; d 1.837, 2θ = 49.6°, I 211; d 1.468, 2θ = 63.3°, I 203; d 2.994, 2θ = 29.8°, I 198

Atomic structure:
Lattice parameters (Å, degrees): 4.8855 4.8855 29.6603 90.00 90.00 120.00
Space group R-3m (No. 166, hexagonal axes)
Symmetry-distinct sites (fractional):
Ba (0.0000, 0.0000, 0.0000) [3 per cell]
Mg (0.0000, 0.0000, 0.5000) [3 per cell]
Ag (0.0000, 0.0000, 0.2331) [6 per cell]
Hg (0.0000, 0.0000, 0.1299) [6 per cell]
Hg (0.0000, 0.0000, 0.3992) [6 per cell]



Which formula does entry 4 have? BaMgAg2Hg4